No. 1
Calculated X-ray diffraction stick pattern
Compound: CaSbF6
Radiation: Cu Ka
Structure: a GGA-PBE-relaxed structure

Cell and atoms:
Cell: 5.8239 5.8239 14.9673 Å, 90.00 90.00 120.00°
Space group R-3 (No. 148, hexagonal axes)
Symmetry-distinct sites (fractional):
Ca 0.0000 0.0000 0.0000
Sb 0.0000 0.0000 0.5000
F 0.0202 0.4121 0.2458

Most intense lines, 10 to 90 degrees two-theta, low angle first:
| d [Å] | I (rel.) |
| --- | --- |
| 4.780 | 28 |
| 4.182 | 100 |
| 3.005 | 23 |
| 2.912 | 13 |
| 2.515 | 18 |
| 2.091 | 21 |
| 1.894 | 30 |
| 1.847 | 16 |

---

No. 2
Calculated X-ray diffraction stick pattern
Compound: Ca10Si6F
Radiation: Cu Ka
Structure: a GGA-PBE-relaxed structure

Cell and atoms:
Cell: 7.629 7.629 14.765 Å, 90.00 90.00 90.00°
Space group I-42m (No. 121)
Symmetry-distinct sites (fractional):
Ca 0.000 0.500 0.250
Ca 0.168 0.168 0.399
Ca 0.178 0.178 0.108
Si 0.000 0.500 0.000
Si 0.112 0.112 0.752
F 0.000 0.000 0.500

Most intense lines, 10 to 90 degrees two-theta, low angle first:
| d [Å] | I (rel.) |
| --- | --- |
| 2.804 | 100 |
| 2.697 | 19 |
| 2.653 | 57 |
| 2.461 | 12 |
| 2.413 | 37 |
| 1.732 | 13 |
| 1.722 | 11 |
| 1.617 | 13 |

---

No. 3
Calculated X-ray diffraction stick pattern
Compound: Ca3SnF6
Radiation: Cu Ka
Structure: a GGA-PBE-relaxed structure

Cell and atoms:
Cell: 6.113 6.676 6.836 Å, 61.47 81.19 75.76°
Space group P-1 (No. 2)
Symmetry-distinct sites (fractional):
Ca 0.000 0.000 0.000
Ca 0.000 0.500 0.500
Ca 0.500 0.000 0.500
Sn 0.000 0.500 0.000
F 0.218 0.752 0.297
F 0.244 0.137 0.701
F 0.271 0.251 0.243

Most intense lines, 10 to 90 degrees two-theta, low angle first:
| d [Å] | I (rel.) |
| --- | --- |
| 5.920 | 100 |
| 4.608 | 75 |
| 4.128 | 62 |
| 3.189 | 51 |
| 2.820 | 80 |
| 2.304 | 34 |
| 2.153 | 36 |
| 2.064 | 26 |

---

No. 4
Calculated X-ray diffraction stick pattern
Compound: Ca3SnF6
Radiation: Cu Ka
Structure: a GGA-PBE-relaxed structure

Cell and atoms:
Cell: 6.319 6.745 6.982 Å, 64.15 83.56 67.84°
Space group P-1 (No. 2)
Symmetry-distinct sites (fractional):
Ca 0.000 0.000 0.000
Ca 0.000 0.000 0.500
Ca 0.500 0.500 0.000
Sn 0.000 0.500 0.500
F 0.202 0.041 0.209
F 0.221 0.583 0.201
F 0.264 0.852 0.776

Most intense lines, 10 to 90 degrees two-theta, low angle first:
| d [Å] | I (rel.) |
| --- | --- |
| 5.841 | 100 |
| 4.816 | 77 |
| 4.146 | 52 |
| 3.437 | 29 |
| 3.319 | 46 |
| 2.823 | 44 |
| 2.408 | 38 |
| 2.208 | 39 |

---

No. 5
Calculated X-ray diffraction stick pattern
Compound: Ca3SnF6
Radiation: Cu Ka
Structure: a GGA-PBE-relaxed structure

Cell and atoms:
Cell: 3.595 7.506 7.663 Å, 66.42 86.66 89.98°
Space group P-1 (No. 2)
Symmetry-distinct sites (fractional):
Ca 0.000 0.000 0.000
Ca 0.000 0.500 0.500
Ca 0.500 0.000 0.500
Sn 0.000 0.500 0.000
F 0.005 0.694 0.191
F 0.029 0.044 0.287
F 0.492 0.685 0.528

Most intense lines, 10 to 90 degrees two-theta, low angle first:
| d [Å] | I (rel.) |
| --- | --- |
| 6.877 | 41 |
| 3.588 | 91 |
| 3.504 | 100 |
| 3.439 | 99 |
| 3.279 | 70 |
| 3.170 | 61 |
| 3.115 | 71 |
| 2.018 | 40 |

---

No. 6
Calculated X-ray diffraction stick pattern
Compound: CaSnF4
Radiation: Cu Ka
Structure: a GGA-PBE-relaxed structure

Cell and atoms:
Cell: 4.005 4.005 5.780 Å, 90.00 90.00 90.00°
Space group P4/mmm (No. 123)
Symmetry-distinct sites (fractional):
Ca 0.000 0.000 0.000
Sn 0.500 0.500 0.500
F 0.000 0.500 0.234

Most intense lines, 10 to 90 degrees two-theta, low angle first:
| d [Å] | I (rel.) |
| --- | --- |
| 5.780 | 16 |
| 4.005 | 18 |
| 3.292 | 100 |
| 2.023 | 53 |
| 2.002 | 26 |
| 1.736 | 16 |
| 1.711 | 30 |
| 1.160 | 15 |

---

No. 7
Calculated X-ray diffraction stick pattern
Compound: Ca4ThF12
Radiation: Cu Ka
Structure: a GGA-PBE-relaxed structure

Cell and atoms:
Cell: 3.970 4.095 16.132 Å, 90.41 96.39 117.61°
Space group P1 (No. 1)
Symmetry-distinct sites (fractional):
Ca 0.000 0.000 0.000
Ca 0.190 0.607 0.808
Ca 0.414 0.225 0.617
Ca 0.647 0.832 0.424
Th 0.825 0.396 0.213
F 0.029 0.943 0.142
F 0.105 0.571 0.663
F 0.277 0.624 0.952
F 0.279 0.195 0.282
F 0.344 0.192 0.472
F 0.362 0.584 0.142
F 0.497 0.263 0.762
F 0.612 0.839 0.280
F 0.661 0.274 0.054
F 0.724 0.879 0.570
F 0.885 0.949 0.854
F 0.976 0.519 0.371

Most intense lines, 10 to 90 degrees two-theta, low angle first:
| d [Å] | I (rel.) |
| --- | --- |
| 7.998 | 100 |
| 5.332 | 37 |
| 3.384 | 51 |
| 3.320 | 60 |
| 3.237 | 43 |
| 3.199 | 40 |
| 2.044 | 37 |
| 1.984 | 32 |

---

No. 8
Calculated X-ray diffraction stick pattern
Compound: CaTiF5
Radiation: Cu Ka
Structure: a GGA-PBE-relaxed structure

Cell and atoms:
Cell: 9.175 6.686 7.766 Å, 90.00 114.85 90.00°
Space group C2/c (No. 15)
Symmetry-distinct sites (fractional):
Ca 0.000 0.041 0.250
Ti 0.000 0.500 0.000
F 0.000 0.404 0.250
F 0.011 0.199 0.969
F 0.228 0.480 0.618

Most intense lines, 10 to 90 degrees two-theta, low angle first:
| d [Å] | I (rel.) |
| --- | --- |
| 4.163 | 100 |
| 3.358 | 93 |
| 3.343 | 44 |
| 2.081 | 35 |
| 1.941 | 25 |
| 1.933 | 36 |
| 1.767 | 22 |
| 1.417 | 17 |